# 1
Calculated powder diffraction line list of PmTh2Al2 for a wavelength of 1.5418 Å, from a cell relaxed with PBE.

Most intense lines, 10° ≤ 2θ ≤ 90°, sorted by position:
2theta, d/Å, I/Imax
18.6, 4.773, 81
26.8, 3.331, 70
30.0, 2.976, 41
30.7, 2.910, 100
35.6, 2.525, 61
43.8, 2.068, 24

Atomic structure:
abc: 8.855 8.855 5.820
angles: 90.00 90.00 140.73
Positions (direct):
1 Pm 0.000 0.000 0.000
2 Pm 0.000 0.000 0.500
3 Th 0.198 0.802 0.750
4 Th 0.382 0.618 0.250
5 Th 0.618 0.382 0.750
6 Th 0.802 0.198 0.250
7 Al 0.097 0.386 0.750
8 Al 0.386 0.097 0.250
9 Al 0.614 0.903 0.750
10 Al 0.903 0.614 0.250

---

# 2
Calculated powder diffraction line list of Pm2ThAl2Zn2 for a wavelength of 1.5418 Å, from a cell relaxed with PBE.

Most intense lines, 10° ≤ 2θ ≤ 90°, sorted by position:
2theta, d/Å, I/Imax
23.0, 3.869, 67
31.5, 2.842, 93
33.7, 2.658, 100
40.0, 2.254, 88
53.3, 1.719, 27
63.3, 1.468, 45

Atomic structure:
abc: 10.019 10.019 10.019
angles: 26.00 26.00 26.00
Positions (direct):
1 Pm 0.128 0.128 0.128
2 Pm 0.872 0.872 0.872
3 Th 0.000 0.000 0.000
4 Al 0.264 0.264 0.264
5 Al 0.736 0.736 0.736
6 Zn 0.399 0.399 0.399
7 Zn 0.601 0.601 0.601

---

# 3
Calculated powder diffraction line list of Pm4AlTl for a wavelength of 1.5418 Å, from a cell relaxed with PBE.

Most intense lines, 10° ≤ 2θ ≤ 90°, sorted by position:
2theta, d/Å, I/Imax
25.8, 3.458, 29
28.2, 3.163, 21
30.7, 2.915, 48
34.4, 2.606, 38
35.0, 2.562, 100
57.4, 1.606, 24

Atomic structure:
abc: 3.766 5.830 8.740
angles: 90.00 90.00 90.00
Positions (direct):
1 Pm 0.000 0.000 0.199
2 Pm 0.000 0.000 0.801
3 Pm 0.500 0.500 0.280
4 Pm 0.500 0.500 0.720
5 Al 0.000 0.500 0.000
6 Tl 0.500 0.000 0.500

---

# 4
Calculated powder diffraction line list of Pm6AlTl3 for a wavelength of 1.5418 Å, from a cell relaxed with PBE.

Most intense lines, 10° ≤ 2θ ≤ 90°, sorted by position:
2theta, d/Å, I/Imax
30.9, 2.898, 9
32.0, 2.797, 19
32.5, 2.754, 100
33.4, 2.686, 32
46.9, 1.937, 13
59.1, 1.564, 19

Atomic structure:
abc: 9.628 5.373 11.847
angles: 90.00 106.29 90.00
Positions (direct):
1 Pm 0.032 0.250 0.407
2 Pm 0.165 0.750 0.175
3 Pm 0.268 0.250 0.999
4 Pm 0.355 0.750 0.824
5 Pm 0.374 0.250 0.341
6 Pm 0.399 0.250 0.623
7 Pm 0.601 0.750 0.377
8 Pm 0.626 0.750 0.659
9 Pm 0.645 0.250 0.176
10 Pm 0.732 0.750 0.001
11 Pm 0.835 0.250 0.825
12 Pm 0.968 0.750 0.593
13 Al 0.454 0.750 0.108
14 Al 0.546 0.250 0.892
15 Tl 0.027 0.750 0.887
16 Tl 0.120 0.250 0.717
17 Tl 0.272 0.750 0.471
18 Tl 0.728 0.250 0.529
19 Tl 0.880 0.750 0.283
20 Tl 0.973 0.250 0.113